[1]
U2Co3NiAs4: theoretical PXRD pattern (Cu Kα X-rays), based on a structure optimized by DFT (GGA-PBE).

Largest 10 diffraction maxima, most intense first, 5° ≤ 2θ ≤ 70°:
2θ (°)	d (Å)	Rel. int.	h k l
36.41	2.467	100	1 1 2
44.00	2.058	31	2 0 0
58.35	1.581	22	2 1 3
23.65	3.762	19	1 0 1
30.72	2.910	16	1 1 0
54.27	1.690	14	1 0 5
63.98	1.455	10	2 2 0
68.80	1.365	8	1 1 6
50.55	1.805	6	2 1 1
60.13	1.539	5	2 0 4

Unit cell a=4.1160 b=4.1160 c=9.2688 alpha=90.00 beta=90.00 gamma=90.00
Space group P-4m2 (No. 115)
Asymmetric unit:
U 0.0000 0.5000 0.2495 x2
Co 0.0000 0.0000 0.0000 x1
Co 0.0000 0.5000 0.6175 x2
Ni 0.5000 0.5000 0.0000 x1
As 0.0000 0.0000 0.5000 x1
As 0.0000 0.5000 0.8658 x2
As 0.5000 0.5000 0.5000 x1



[2]
K7Tl2O2: theoretical PXRD pattern (Cu Kα X-rays), based on a structure optimized by DFT (GGA-PBE).

Largest 10 diffraction maxima, most intense first, 5° ≤ 2θ ≤ 70°:
2θ (°)	d (Å)	Rel. int.	h k l
18.19	4.878	100	2 0 -1
26.73	3.335	66	2 0 2
14.30	6.195	61	2 0 0
11.18	7.914	54	0 0 1
28.82	3.097	50	4 0 0
17.41	5.095	47	1 1 -1
35.23	2.547	46	2 2 2
29.10	3.068	46	2 2 -1
26.20	3.402	40	1 1 2
42.30	2.137	30	3 3 1

Unit cell a=12.3895 b=7.8937 c=7.9143 alpha=90.00 beta=90.21 gamma=90.00
Space group C2/m (No. 12)
Asymmetric unit:
K 0.0000 0.0000 0.0000 x2
K 0.0007 0.5000 0.1952 x4
K 0.2494 0.2501 0.7895 x8
Tl 0.0000 0.1764 0.5000 x4
O 0.1784 0.5000 0.0001 x4



[3]
Ca4Ag3F12: theoretical PXRD pattern (Cu Kα X-rays), based on a structure optimized by DFT (GGA-PBE).

Largest 10 diffraction maxima, most intense first, 5° ≤ 2θ ≤ 70°:
2θ (°)	d (Å)	Rel. int.	h k l
29.30	3.048	100	2 2 0
51.97	1.760	58	4 2 2
14.53	6.096	45	1 1 0
41.92	2.155	33	4 0 0
25.31	3.519	23	2 1 1
68.89	1.363	18	6 2 0
36.09	2.488	17	2 2 2
60.78	1.524	15	4 4 0
32.86	2.726	14	3 0 1
39.10	2.304	12	3 1 2

Unit cell a=8.6204 b=8.6204 c=8.6204 alpha=90.00 beta=90.00 gamma=90.00
Space group Im-3 (No. 204)
Asymmetric unit:
Ca 0.2500 0.2500 0.2500 x8
Ag 0.0000 0.0000 0.5000 x6
F 0.0000 0.1899 0.3136 x24



[4]
MnGaNiPd: theoretical PXRD pattern (Cu Kα X-rays), based on a structure optimized by DFT (GGA-PBE).

Largest 10 diffraction maxima, most intense first, 5° ≤ 2θ ≤ 70°:
2θ (°)	d (Å)	Rel. int.	h k l
41.36	2.183	100	1 1 2
46.92	1.936	34	2 0 0
50.48	1.808	14	0 0 4
68.53	1.369	10	2 2 0
26.10	3.414	8	1 0 1
54.48	1.684	2	2 1 1
24.62	3.616	2	0 0 2
32.70	2.738	2	1 1 0
44.26	2.046	2	1 0 3
66.47	1.407	1	2 1 3

Unit cell a=3.8727 b=3.8727 c=7.2313 alpha=90.00 beta=90.00 gamma=90.00
Space group I-4m2 (No. 119)
Asymmetric unit:
Mn 0.0000 0.0000 0.0000 x2
Ga 0.0000 0.0000 0.5000 x2
Ni 0.0000 0.5000 0.2500 x2
Pd 0.0000 0.5000 0.7500 x2